This entry pairs a crystal structure of ScCuHPd2 with its calculated powder diffraction line list. Radiation: Cu Kα (weighted mean of Kα1 and Kα2). Structure: the GGA-PBE geometry in Alexandria.
Peak positions follow from Bragg's law for the DFT cell and can differ from measured ones.

Main lines, in order of falling intensity (10° ≤ 2θ ≤ 90°):
2θ (°)	intensity
38.73	100
44.51	34
78.10	24
65.97	20
46.04	15
80.31	11
64.78	10
22.55	10
83.09	10
31.07	9

Structural model:
Unit cell a=4.0708 b=4.0708 c=3.9425 alpha=90.00 beta=90.00 gamma=90.00
Space group P4/mmm (No. 123)
One atom of each set of equivalent atoms:
Sc1 0.0000 0.0000 0.0000 [1 per cell]
Cu1 0.5000 0.5000 0.0000 [1 per cell]
H1 0.5000 0.5000 0.5000 [1 per cell]
Pd1 0.0000 0.5000 0.5000 [2 per cell]

This entry pairs a crystal structure of CaScAl with its calculated powder diffraction line list. Radiation: Cu Kα (weighted mean of Kα1 and Kα2). Structure: the GGA-PBE geometry in Alexandria.
Peak positions follow from Bragg's law for the DFT cell and can differ from measured ones.

Main lines, in order of falling intensity (10° ≤ 2θ ≤ 90°):
2θ (°)	intensity
33.40	100
35.44	92
49.49	30
62.34	28
66.36	20
63.63	15
84.62	11
24.16	10
75.00	9
88.26	9

Structural model:
Unit cell a=5.0658 b=5.0658 c=6.7799 alpha=90.00 beta=90.00 gamma=120.00
Space group P3m1 (No. 156)
One atom of each set of equivalent atoms:
Ca1 0.0000 0.0000 0.0000 [1 per cell]
Ca2 0.3333 0.6667 0.7516 [1 per cell]
Sc1 0.0000 0.0000 0.4888 [1 per cell]
Sc2 0.6667 0.3333 0.2668 [1 per cell]
Al1 0.3333 0.6667 0.2684 [1 per cell]
Al2 0.6667 0.3333 0.7017 [1 per cell]

This entry pairs a crystal structure of AlInHg with its calculated powder diffraction line list. Radiation: Cu Kα (weighted mean of Kα1 and Kα2). Structure: the GGA-PBE geometry in Alexandria.
Peak positions follow from Bragg's law for the DFT cell and can differ from measured ones.

Main lines, in order of falling intensity (10° ≤ 2θ ≤ 90°):
2θ (°)	intensity
32.70	100
13.52	42
30.06	36
31.53	36
30.36	33
42.04	30
32.01	26
38.08	24
41.66	21
57.11	21

Structural model:
Unit cell a=6.3918 b=3.3605 c=6.5621 alpha=90.00 beta=93.77 gamma=90.00
Space group Pm (No. 6)
One atom of each set of equivalent atoms:
Al1 0.0000 0.0000 0.0000 [1 per cell]
Al2 0.3487 0.5000 0.9786 [1 per cell]
In1 0.3144 0.0000 0.3670 [1 per cell]
In2 0.7444 0.5000 0.2644 [1 per cell]
Hg1 0.0293 0.5000 0.6409 [1 per cell]
Hg2 0.6084 0.0000 0.7531 [1 per cell]

This entry pairs a crystal structure of Mg3Ga3Sn with its calculated powder diffraction line list. Radiation: Cu Kα (weighted mean of Kα1 and Kα2). Structure: the GGA-PBE geometry in Alexandria.
Peak positions follow from Bragg's law for the DFT cell and can differ from measured ones.

Main lines, in order of falling intensity (10° ≤ 2θ ≤ 90°):
2θ (°)	intensity
38.01	100
21.70	37
33.35	28
35.88	27
49.78	22
59.61	21
71.57	21
65.90	19
72.92	14
25.06	8

Structural model:
Unit cell a=8.2073 b=8.2073 c=5.0051 alpha=90.00 beta=90.00 gamma=120.00
Space group P6_3/m (No. 176)
One atom of each set of equivalent atoms:
Mg1 0.0886 0.6377 0.2500 [6 per cell]
Ga1 0.0375 0.8172 0.7500 [6 per cell]
Sn1 0.3333 0.6667 0.7500 [2 per cell]

This entry pairs a crystal structure of TaTiNiN2 with its calculated powder diffraction line list. Radiation: Cu Kα (weighted mean of Kα1 and Kα2). Structure: the GGA-PBE geometry in Alexandria.
Peak positions follow from Bragg's law for the DFT cell and can differ from measured ones.

Main lines, in order of falling intensity (10° ≤ 2θ ≤ 90°):
2θ (°)	intensity
27.61	100
32.15	61
22.58	55
31.66	47
45.74	47
57.00	33
46.10	32
54.58	31
39.24	26
15.68	21

Structural model:
Unit cell a=3.9378 b=3.9378 c=5.6526 alpha=90.00 beta=90.00 gamma=90.00
Space group P4/mmm (No. 123)
One atom of each set of equivalent atoms:
Ta1 0.0000 0.0000 0.0000 [1 per cell]
Ti1 0.0000 0.0000 0.5000 [1 per cell]
Ni1 0.5000 0.5000 0.5000 [1 per cell]
N1 0.0000 0.5000 0.0000 [2 per cell]

This entry pairs a crystal structure of Ce2Sb3Rh4 with its calculated powder diffraction line list. Radiation: Cu Kα (weighted mean of Kα1 and Kα2). Structure: the GGA-PBE geometry in Alexandria.
Peak positions follow from Bragg's law for the DFT cell and can differ from measured ones.

Main lines, in order of falling intensity (10° ≤ 2θ ≤ 90°):
2θ (°)	intensity
34.30	100
41.16	78
40.25	74
34.41	32
70.63	28
59.62	26
74.39	24
54.70	17
72.53	16
85.89	14

Structural model:
Unit cell a=4.3862 b=4.3862 c=9.7231 alpha=90.00 beta=90.00 gamma=90.00
Space group P4mm (No. 99)
One atom of each set of equivalent atoms:
Ce1 0.0000 0.0000 0.0000 [1 per cell]
Ce2 0.5000 0.5000 0.4996 [1 per cell]
Sb1 0.0000 0.0000 0.3551 [1 per cell]
Sb2 0.0000 0.0000 0.6444 [1 per cell]
Sb3 0.5000 0.5000 0.9992 [1 per cell]
Rh1 0.0000 0.5000 0.1933 [2 per cell]
Rh2 0.0000 0.5000 0.8062 [2 per cell]

This entry pairs a crystal structure of In3GaSb4 with its calculated powder diffraction line list. Radiation: Cu Kα (weighted mean of Kα1 and Kα2). Structure: the GGA-PBE geometry in Alexandria.
Peak positions follow from Bragg's law for the DFT cell and can differ from measured ones.

Main lines, in order of falling intensity (10° ≤ 2θ ≤ 90°):
2θ (°)	intensity
23.62	100
39.05	79
46.15	48
70.75	25
62.01	19
88.71	14
75.76	14
56.42	13
83.90	8
31.42	2

Structural model:
Unit cell a=6.5239 b=6.5239 c=13.0467 alpha=90.00 beta=90.00 gamma=90.00
Space group I-42m (No. 121)
One atom of each set of equivalent atoms:
In1 0.0000 0.0000 0.0000 [2 per cell]
In2 0.0000 0.5000 0.2500 [4 per cell]
Ga1 0.0000 0.0000 0.5000 [2 per cell]
Sb1 0.2388 0.2388 0.6207 [8 per cell]

Which formula does entry 5 have? TaTiNiN2